Entry 1:
The following is a calculated XRD peak list of SrAs2. It was derived from a GGA-PBE-relaxed structure, using Cu Kα (weighted mean of Kα1 and Kα2).
Neutral-atom scattering factors, no anomalous dispersion.

Largest 10 diffraction maxima, sorted by position, 2θ from 10° to 90°:
- (2 0 1), 21.42°, intensity 33
- (1 1 1), 25.23°, intensity 77
- (3 1 0), 30.78°, intensity 41
- (4 0 0), 31.70°, intensity 75
- (3 1 -1), 32.77°, intensity 63
- (1 1 -2), 33.53°, intensity 100
- (1 1 2), 34.63°, intensity 32
- (0 2 0), 39.46°, intensity 59
- (3 1 2), 42.48°, intensity 37
- (4 2 0), 51.49°, intensity 48

Cell and atoms:
a b c (Å): 11.3334 4.5677 6.7375
angles (deg): 90.00 94.92 90.00
Space group Cm (No. 8)
Asymmetric unit:
Sr: 0.0000 0.0000 0.0000 [2 per cell]
Sr: 0.2393 0.0000 0.5731 [2 per cell]
As: 0.1890 0.5000 0.8911 [2 per cell]
As: 0.1900 0.5000 0.2473 [2 per cell]
As: 0.4600 0.5000 0.5027 [2 per cell]
As: 0.4722 0.0000 0.3285 [2 per cell]

---

Entry 2:
The following is a calculated XRD peak list of SrTa2As2. It was derived from a GGA-PBE-relaxed structure, using Cu Kα (weighted mean of Kα1 and Kα2).
Neutral-atom scattering factors, no anomalous dispersion.

Largest 10 diffraction maxima, sorted by position, 2θ from 10° to 90°:
- (1 0 1), 20.35°, intensity 43
- (1 1 0), 25.26°, intensity 58
- (1 1 2), 32.23°, intensity 22
- (1 0 3), 34.85°, intensity 99
- (2 0 0), 36.02°, intensity 100
- (1 1 4), 47.89°, intensity 39
- (2 1 3), 50.99°, intensity 68
- (2 2 0), 51.86°, intensity 35
- (3 1 4), 73.25°, intensity 22
- (4 2 0), 87.46°, intensity 23

Cell and atoms:
a b c (Å): 4.9869 4.9869 9.0182
angles (deg): 90.00 90.00 90.00
Space group I4/mmm (No. 139)
Asymmetric unit:
Sr: 0.0000 0.0000 0.0000 [2 per cell]
Ta: 0.0000 0.0000 0.3589 [4 per cell]
As: 0.0000 0.5000 0.2500 [4 per cell]

---

Entry 3:
The following is a calculated XRD peak list of SrTe3As. It was derived from a GGA-PBE-relaxed structure, using Cu Kα (weighted mean of Kα1 and Kα2).
Neutral-atom scattering factors, no anomalous dispersion.

Largest 10 diffraction maxima, sorted by position, 2θ from 10° to 90°:
- (1 1 1), 26.23°, intensity 19
- (0 1 2), 28.69°, intensity 31
- (2 1 0), 29.80°, intensity 20
- (2 1 -1), 30.05°, intensity 100
- (2 0 -3), 32.47°, intensity 17
- (1 0 3), 32.90°, intensity 29
- (1 1 -3), 36.06°, intensity 20
- (0 2 0), 42.83°, intensity 24
- (1 1 -4), 44.26°, intensity 16
- (3 1 2), 46.04°, intensity 20

Cell and atoms:
a b c (Å): 8.6829 4.2226 9.3853
angles (deg): 90.00 101.25 90.00
Space group P2_1/m (No. 11)
Asymmetric unit:
Sr: 0.1741 0.2500 0.2786 [2 per cell]
Te: 0.1094 0.2500 0.9128 [2 per cell]
Te: 0.1511 0.7500 0.5593 [2 per cell]
Te: 0.4462 0.7500 0.1725 [2 per cell]
As: 0.3183 0.7500 0.8718 [2 per cell]

---

Entry 4:
The following is a calculated XRD peak list of SrTh2UAs4. It was derived from a GGA-PBE-relaxed structure, using Cu Kα (weighted mean of Kα1 and Kα2).
Neutral-atom scattering factors, no anomalous dispersion.

Largest 10 diffraction maxima, sorted by position, 2θ from 10° to 90°:
- (1 0 1), 16.47°, intensity 9
- (1 1 2), 25.63°, intensity 33
- (2 0 0), 29.68°, intensity 100
- (2 2 0), 42.48°, intensity 76
- (1 1 6), 50.27°, intensity 17
- (2 2 4), 52.68°, intensity 27
- (4 0 0), 61.63°, intensity 13
- (3 1 6), 67.87°, intensity 8
- (4 2 0), 69.89°, intensity 35
- (4 2 4), 77.72°, intensity 27

Cell and atoms:
a b c (Å): 6.0171 6.0171 12.0473
angles (deg): 90.00 90.00 90.00
Space group I-4m2 (No. 119)
Asymmetric unit:
Sr: 0.0000 0.0000 0.0000 [2 per cell]
Th: 0.0000 0.0000 0.5000 [2 per cell]
Th: 0.0000 0.5000 0.2500 [2 per cell]
U: 0.0000 0.5000 0.7500 [2 per cell]
As: 0.0000 0.0000 0.2541 [4 per cell]
As: 0.0000 0.5000 0.5048 [4 per cell]

---

Entry 5:
The following is a calculated XRD peak list of Sr3TiAs3. It was derived from a GGA-PBE-relaxed structure, using Cu Kα (weighted mean of Kα1 and Kα2).
Neutral-atom scattering factors, no anomalous dispersion.

Largest 10 diffraction maxima, sorted by position, 2θ from 10° to 90°:
- (0 2 0), 26.37°, intensity 60
- (0 0 4), 27.73°, intensity 100
- (6 0 0), 28.11°, intensity 99
- (2 2 1), 28.88°, intensity 51
- (4 2 1), 33.25°, intensity 30
- (3 1 4), 33.94°, intensity 33
- (0 2 4), 38.64°, intensity 62
- (6 2 0), 38.92°, intensity 78
- (6 0 4), 39.90°, intensity 93
- (6 2 4), 48.45°, intensity 42

Cell and atoms:
a b c (Å): 19.0436 6.7589 12.8691
angles (deg): 90.00 90.00 90.00
Space group Cmce (No. 64)
Asymmetric unit:
Sr: 0.0000 0.1702 0.1587 [8 per cell]
Sr: 0.1750 0.1804 0.8662 [16 per cell]
Ti: 0.0827 0.0000 0.5000 [8 per cell]
As: 0.0000 0.2239 0.4002 [8 per cell]
As: 0.1589 0.2001 0.6190 [16 per cell]

---

Entry 6:
The following is a calculated XRD peak list of Sr3UAs4. It was derived from a GGA-PBE-relaxed structure, using Cu Kα (weighted mean of Kα1 and Kα2).
Neutral-atom scattering factors, no anomalous dispersion.

Largest 10 diffraction maxima, sorted by position, 2θ from 10° to 90°:
- (0 1 0), 10.09°, intensity 9
- (1 0 0), 12.38°, intensity 15
- (2 0 0), 24.90°, intensity 10
- (1 2 1), 28.92°, intensity 100
- (0 4 0), 41.17°, intensity 35
- (1 2 -3), 41.53°, intensity 36
- (2 4 -2), 51.09°, intensity 17
- (2 4 2), 59.96°, intensity 7
- (1 6 1), 67.65°, intensity 9
- (0 4 4), 68.17°, intensity 10

Cell and atoms:
a b c (Å): 7.5994 8.7655 7.5182
angles (deg): 90.00 109.83 90.00
Space group P2/c (No. 13)
Asymmetric unit:
Sr: 0.0000 0.1195 0.2500 [2 per cell]
Sr: 0.0000 0.3770 0.7500 [2 per cell]
Sr: 0.5000 0.1225 0.7500 [2 per cell]
U: 0.5000 0.3730 0.2500 [2 per cell]
As: 0.2686 0.1525 0.0275 [4 per cell]
As: 0.2934 0.3963 0.4980 [4 per cell]